1.
Computed powder XRD pattern of Bi6IrPt3 for Cu Kα (λ = 1.5418 Å), from the GGA-PBE geometry in Alexandria.
No peak broadening, texture or thermal motion is included.

The 6 most intense peaks (10 to 80 degrees two-theta), low angle first:
| 2θ/deg | d/Å | I_rel | index |
| --- | --- | --- | --- |
| 29.12 | 3.067 | 100.0 | 1 0 2 |
| 29.99 | 2.980 | 52.6 | 1 0 -4 |
| 38.12 | 2.361 | 55.2 | 0 2 3 |
| 41.98 | 2.152 | 52.8 | 1 3 -1 |
| 42.32 | 2.136 | 40.4 | 3 1 -1 |
| 43.53 | 2.079 | 36.4 | 3 1 -5 |

Structural model:
a = 7.4441 Å, b = 6.7446 Å, c = 12.1808 Å
α = 90.00°, β = 125.50°, γ = 90.00°
Sites, in units of the cell vectors:
1 Bi 0.0740 0.0182 0.2545
2 Bi 0.0740 0.4818 0.7545
3 Bi 0.2564 0.1416 0.5929
4 Bi 0.2564 0.3584 0.0929
5 Bi 0.4014 0.6569 0.5775
6 Bi 0.4014 0.8431 0.0775
7 Bi 0.5986 0.1569 0.9225
8 Bi 0.5986 0.3431 0.4225
9 Bi 0.7436 0.6416 0.9071
10 Bi 0.7436 0.8584 0.4071
11 Bi 0.9260 0.5182 0.2455
12 Bi 0.9260 0.9818 0.7455
13 Ir 0.5000 0.0000 0.5000
14 Ir 0.5000 0.5000 0.0000
15 Pt 0.0000 0.0000 0.0000
16 Pt 0.0000 0.5000 0.5000
17 Pt 0.3200 0.6695 0.2796
18 Pt 0.3200 0.8305 0.7796
19 Pt 0.6800 0.1695 0.2204
20 Pt 0.6800 0.3305 0.7204

2.
Computed powder XRD pattern of BiIrS for Cu Kα (λ = 1.5418 Å), from the GGA-PBE geometry in Alexandria.
No peak broadening, texture or thermal motion is included.

The 6 most intense peaks (10 to 80 degrees two-theta), low angle first:
| 2θ/deg | d/Å | I_rel | index |
| --- | --- | --- | --- |
| 24.79 | 3.591 | 34.9 | 1 1 1 |
| 28.71 | 3.110 | 34.4 | 2 0 0 |
| 32.18 | 2.782 | 100.0 | 2 0 1 |
| 35.35 | 2.539 | 48.3 | 2 1 1 |
| 48.55 | 1.875 | 76.5 | 3 1 1 |
| 55.26 | 1.662 | 31.0 | 3 1 2 |

Structural model:
a = 6.2196 Å, b = 6.2196 Å, c = 6.2196 Å
α = 90.00°, β = 90.00°, γ = 90.00°
Sites, in units of the cell vectors:
1 Bi 0.1301 0.3699 0.6301
2 Bi 0.3699 0.6301 0.1301
3 Bi 0.6301 0.1301 0.3699
4 Bi 0.8699 0.8699 0.8699
5 Ir 0.0238 0.9762 0.4762
6 Ir 0.4762 0.0238 0.9762
7 Ir 0.5238 0.5238 0.5238
8 Ir 0.9762 0.4762 0.0238
9 S 0.1177 0.1177 0.1177
10 S 0.3823 0.8823 0.6177
11 S 0.6177 0.3823 0.8823
12 S 0.8823 0.6177 0.3823